# RbTaCu2Te4
Computed powder diffractogram, Cu Kα (weighted mean of Kα1 and Kα2). Input: DFT lattice parameters and positions (GGA-PBE).
Peak positions follow from Bragg's law for the DFT cell and can differ from measured ones.

Largest 10 diffraction maxima, by angle, 2θ = 10–90°:
Position (°2θ), intensity
13.6, 69.0
15.3, 23.4
25.9, 100.0
26.4, 89.9
40.8, 82.9
43.3, 28.1
43.5, 29.6
45.3, 59.7
47.3, 21.9
51.4, 28.7

Crystal structure
```
RbTaCu2Te4
1.0
8.317 0.000 0.000
0.000 20.913 0.000
0.000 0.000 6.038
Rb Ta Cu Te
4 4 8 16
direct
0.245 0.063 0.000
0.255 0.563 0.500
0.745 0.437 0.000
0.755 0.937 0.500
0.244 0.353 0.761
0.256 0.853 0.261
0.744 0.147 0.761
0.756 0.647 0.261
0.005 0.750 0.252
0.245 0.353 0.261
0.255 0.853 0.761
0.495 0.250 0.752
0.505 0.750 0.252
0.745 0.147 0.261
0.755 0.647 0.761
0.995 0.250 0.752
0.004 0.146 0.508
0.015 0.647 0.008
0.242 0.456 0.010
0.245 0.249 0.018
0.255 0.749 0.518
0.258 0.956 0.510
0.485 0.147 0.508
0.496 0.646 0.008
0.504 0.354 0.508
0.515 0.853 0.008
0.742 0.044 0.010
0.745 0.251 0.018
0.755 0.751 0.518
0.758 0.544 0.510
0.985 0.353 0.508
0.996 0.854 0.008
```